# 1
This entry pairs a crystal structure of Pr2SiTeO4 with its theoretical powder diffractogram. Radiation: Cu Ka. Structure: a GGA-PBE-relaxed structure.
No peak broadening, texture or thermal motion is included.

Atomic structure:
a b c (Å): 9.816 6.495 8.718
angles (deg): 90.00 93.25 90.00
Fractional positions:
Pr: 0.108 0.152 0.189
Pr: 0.108 0.348 0.689
Pr: 0.351 0.693 0.327
Pr: 0.351 0.807 0.827
Pr: 0.649 0.193 0.173
Pr: 0.649 0.307 0.673
Pr: 0.892 0.652 0.311
Pr: 0.892 0.848 0.811
Si: 0.127 0.689 0.055
Si: 0.127 0.811 0.555
Si: 0.873 0.189 0.445
Si: 0.873 0.311 0.945
Te: 0.399 0.212 0.398
Te: 0.399 0.288 0.898
Te: 0.601 0.712 0.102
Te: 0.601 0.788 0.602
O: 0.018 0.192 0.920
O: 0.018 0.308 0.420
O: 0.126 0.631 0.872
O: 0.126 0.869 0.372
O: 0.157 0.511 0.183
O: 0.157 0.989 0.683
O: 0.253 0.643 0.584
O: 0.253 0.857 0.084
O: 0.747 0.143 0.916
O: 0.747 0.357 0.416
O: 0.843 0.011 0.317
O: 0.843 0.489 0.817
O: 0.874 0.131 0.628
O: 0.874 0.369 0.128
O: 0.982 0.692 0.580
O: 0.982 0.808 0.080

Peak list (6 most intense, 2θ = 5–70°, by angle)
2theta  I_rel
26.62  100.0
27.47  56.9
28.19  63.1
29.36  57.5
31.43  63.1
43.88  51.2

# 2
This entry pairs a crystal structure of TaTc2 with its theoretical powder diffractogram. Radiation: Cu Ka. Structure: a GGA-PBE-relaxed structure.
No peak broadening, texture or thermal motion is included.

Atomic structure:
a b c (Å): 5.146 5.146 5.146
angles (deg): 60.00 60.00 60.00
Fractional positions:
Ta: 0.125 0.125 0.125
Ta: 0.875 0.875 0.875
Tc: 0.000 0.500 0.500
Tc: 0.500 0.000 0.500
Tc: 0.500 0.500 0.000
Tc: 0.500 0.500 0.500

Peak list (6 most intense, 2θ = 5–70°, by angle)
2theta  I_rel
21.14  1.9
34.87  48.8
41.14  100.0
43.06  22.9
62.52  18.3
66.79  31.5

# 3
This entry pairs a crystal structure of SnPd3Au3 with its theoretical powder diffractogram. Radiation: Cu Ka. Structure: a GGA-PBE-relaxed structure.
No peak broadening, texture or thermal motion is included.

Atomic structure:
a b c (Å): 5.761 5.761 5.761
angles (deg): 58.59 58.59 58.59
Fractional positions:
Sn: 0.000 0.000 0.000
Pd: 0.000 0.500 0.500
Pd: 0.500 0.000 0.500
Pd: 0.500 0.500 0.000
Au: 0.000 0.000 0.500
Au: 0.000 0.500 0.000
Au: 0.500 0.000 0.000

Peak list (6 most intense, 2θ = 5–70°, by angle)
2theta  I_rel
19.21  23.3
37.85  36.2
39.00  100.0
45.01  66.8
64.76  22.7
66.32  21.1

# 4
This entry pairs a crystal structure of HfTlAgSeS2 with its theoretical powder diffractogram. Radiation: Cu Ka. Structure: a GGA-PBE-relaxed structure.
No peak broadening, texture or thermal motion is included.

Atomic structure:
a b c (Å): 8.113 3.814 10.019
angles (deg): 90.00 109.78 90.00
Fractional positions:
Hf: 0.186 0.250 0.148
Hf: 0.814 0.750 0.852
Tl: 0.233 0.750 0.705
Tl: 0.767 0.250 0.295
Ag: 0.441 0.750 0.388
Ag: 0.559 0.250 0.612
Se: 0.217 0.250 0.423
Se: 0.783 0.750 0.577
S: 0.045 0.250 0.876
S: 0.388 0.750 0.128
S: 0.612 0.250 0.872
S: 0.955 0.750 0.124

Peak list (6 most intense, 2θ = 5–70°, by angle)
2theta  I_rel
24.54  51.0
25.19  60.2
29.15  44.2
32.25  100.0
35.81  96.2
36.78  48.7